The following is a calculated powder diffraction line list of YZn3P3. It was derived from a PBE-relaxed structure, using Cu Kα (λ = 1.5418 Å).
Neutral-atom scattering factors, no anomalous dispersion.

Atomic structure:
abc: 4.0031 4.0031 19.8804
angles: 90.00 90.00 120.00
Space group P6_3/mmc (No. 194)
Inequivalent atoms, fractional coordinates:
Y 0.0000 0.0000 0.0000
Zn 0.3333 0.6667 0.1284
Zn 0.3333 0.6667 0.7500
P 0.3333 0.6667 0.2500
P 0.3333 0.6667 0.5841

Most intense lines, 2θ from 5° to 70°, sorted by position:
Position (°2θ)	I/Imax
27.2	89
29.1	17
31.5	58
34.3	71
36.1	38
37.5	59
45.3	100
59.3	52